# Mn6O7F5
Simulated powder XRD pattern, a wavelength of 1.5418 Å. Input: a crystal structure in the Materials Project, relaxed with PBE+U.
Intensities are scaled so that the largest is 100.

Most intense lines, 2θ = 15–90°, sorted by position:
d_spacing	I_rel	h k l
3.469	100	1 1 1
3.211	91	-1 1 1
2.560	51	0 0 3
2.545	43	0 2 -1
2.356	15	0 2 2
1.776	30	1 1 4
1.761	29	1 3 0
1.734	17	2 2 2
1.697	25	2 -2 1
1.518	16	0 2 -4

Crystal structure
```
data_Mn6O7F5
_cell_length_a 4.729
_cell_length_b 5.592
_cell_length_c 7.729
_cell_angle_alpha 84.66
_cell_angle_beta 87.09
_cell_angle_gamma 86.41
_symmetry_space_group_name_H-M 'P 1'
_symmetry_Int_Tables_number 1
loop_
_symmetry_equiv_pos_as_xyz
'x,y,z'
loop_
_atom_site_label
_atom_site_fract_x
_atom_site_fract_y
_atom_site_fract_z
Mn1 0.000 0.000 0.000
Mn2 0.003 0.697 0.340
Mn3 0.031 0.358 0.666
Mn4 0.483 0.831 0.660
Mn5 0.524 0.174 0.337
Mn6 0.555 0.528 0.997
O1 0.207 0.640 0.557
O2 0.317 0.141 0.564
O3 0.327 0.807 0.898
O4 0.700 0.883 0.442
O5 0.713 0.218 0.104
O6 0.713 0.552 0.761
O7 0.835 0.724 0.116
F1 0.203 0.296 0.911
F2 0.220 0.981 0.238
F3 0.321 0.482 0.233
F4 0.819 0.061 0.756
F5 0.819 0.386 0.427
```